1.
For AcNd7Dy2, a cell relaxed with GGA-PBE gives the computed X-ray diffraction stick pattern in this record (copper Kα).
Lines closer than 0.1° are merged.

Largest 10 diffraction maxima, sorted by position, 10 to 80 degrees two-theta:
index  two_theta  Rel. int.
0 0 1  15.1  48
1 1 1  18.8  36
2 0 0  19.7  33
0 4 1  26.8  56
2 4 0  29.7  84
0 0 2  30.5  75
1 5 1  33.2  100
3 1 1  33.9  75
2 4 2  43.0  62
2 8 1  52.0  36

Crystal structure
```
data_AcNd7Dy2
_space_group_name_H-M_alt 'C m m m'
_space_group_IT_number 65
_space_group_name_Hall '-C 2 2'
_cell_length_a 9.0314
_cell_length_b 16.1606
_cell_length_c 5.8707
_cell_angle_alpha 90.00
_cell_angle_beta 90.00
_cell_angle_gamma 90.00
loop_
_atom_site_label
_atom_site_fract_x
_atom_site_fract_y
_atom_site_fract_z
_atom_site_occupancy
Ac1 0.0000 0.0000 0.0000 1
Nd1 0.0000 0.2368 0.0000 1
Nd2 0.0000 0.5000 0.5000 1
Nd3 0.1804 0.1193 0.5000 1
Dy1 0.0000 0.2973 0.5000 1
```

***

2.
For Pr2Sn2Au15, a cell relaxed with GGA-PBE gives the computed X-ray diffraction stick pattern in this record (copper Kα).
Lines closer than 0.1° are merged.

Largest 10 diffraction maxima, sorted by position, 10 to 80 degrees two-theta:
index  two_theta  Rel. int.
1 1 0  18.1  31
3 0 0  31.7  24
2 2 0  36.7  39
0 3 3  37.0  100
0 0 6  37.7  42
2 2 3  41.5  89
1 1 6  42.1  24
3 3 3  59.9  24
6 0 0  66.2  28
6 0 6  78.7  25

Crystal structure
```
data_Pr2Sn2Au15
_space_group_name_H-M_alt 'R -3 m'
_space_group_IT_number 166
_space_group_name_Hall '-R 3 2"'
_cell_length_a 9.7866
_cell_length_b 9.7866
_cell_length_c 14.3202
_cell_angle_alpha 90.00
_cell_angle_beta 90.00
_cell_angle_gamma 120.00
loop_
_atom_site_label
_atom_site_fract_x
_atom_site_fract_y
_atom_site_fract_z
_atom_site_occupancy
Pr1 0.0000 0.0000 0.1475 1
Sn1 0.0000 0.0000 0.3991 1
Au1 0.0000 0.3232 0.5000 1
Au2 0.0000 0.5000 0.0000 1
Au3 0.0105 0.5052 0.6586 1
```

***

3.
For Tb6ErTh4, a cell relaxed with GGA-PBE gives the computed X-ray diffraction stick pattern in this record (copper Kα).
Lines closer than 0.1° are merged.

Largest 10 diffraction maxima, sorted by position, 10 to 80 degrees two-theta:
index  two_theta  Rel. int.
1 0 3  27.0  26
1 0 5  28.9  18
0 2 0  30.6  66
0 1 11  31.5  100
1 1 4  31.8  16
1 1 6  33.8  39
1 1 8  36.4  38
1 2 3  41.3  17
0 3 11  54.9  20
2 1 11  63.3  26

Crystal structure
```
data_Tb6ErTh4
_space_group_name_H-M_alt 'I m m m'
_space_group_IT_number 71
_space_group_name_Hall '-I 2 2'
_cell_length_a 3.4324
_cell_length_b 5.8504
_cell_length_c 35.7576
_cell_angle_alpha 90.00
_cell_angle_beta 90.00
_cell_angle_gamma 90.00
loop_
_atom_site_label
_atom_site_fract_x
_atom_site_fract_y
_atom_site_fract_z
_atom_site_occupancy
Tb1 0.0000 0.0000 0.0952 1
Tb2 0.0000 0.0000 0.2674 1
Tb3 0.0000 0.0000 0.3688 1
Er1 0.0000 0.5000 0.5000 1
Th1 0.0000 0.5000 0.0436 1
Th2 0.0000 0.5000 0.3180 1
```

***

4.
For BaLa3Pt, a cell relaxed with GGA-PBE gives the computed X-ray diffraction stick pattern in this record (copper Kα).
Lines closer than 0.1° are merged.

Largest 10 diffraction maxima, sorted by position, 10 to 80 degrees two-theta:
index  two_theta  Rel. int.
1 0 0  12.0  78
2 1 0  27.4  96
2 1 -1  28.5  74
0 2 1  28.7  80
1 1 -2  28.9  51
1 0 2  29.2  59
1 2 -1  30.4  49
2 0 -2  31.9  100
1 1 -3  39.7  46
4 0 0  49.5  45

Crystal structure
```
data_BaLa3Pt
_space_group_name_H-M_alt 'P 1 c 1'
_space_group_IT_number 7
_cell_length_a 7.4571
_cell_length_b 6.8972
_cell_length_c 7.3134
_cell_angle_alpha 90.00
_cell_angle_beta 98.90
_cell_angle_gamma 90.00
loop_
_space_group_symop_operation_xyz
'x,y,z'
'x,-y,z+1/2'
loop_
_atom_site_label
_atom_site_fract_x
_atom_site_fract_y
_atom_site_fract_z
_atom_site_occupancy
Ba1 0.0000 0.1018 0.0000 1
La1 0.2443 0.4169 0.5360 1
La2 0.5124 0.0967 0.2467 1
La3 0.7472 0.4379 0.6349 1
Pt1 0.4942 0.3126 0.8872 1
```